# 1
This entry pairs a crystal structure of TePt3O8 with its calculated X-ray powder pattern. Radiation: copper Kα. Structure: a DFT-relaxed cell (GGA-PBE, Alexandria).
Neutral-atom scattering factors, no anomalous dispersion.

Most intense lines, 2θ from 5° to 70°, in order of rising 2θ:
2θ/deg  intensity  index
18.79  66  1 0 1
19.06  70  0 0 2
34.12  100  2 0 1
34.27  38  1 1 2
44.09  47  2 0 3
60.07  35  2 0 5

Structure:
```
data_TePt3O8
_space_group_name_H-M_alt 'P 63 m c'
_space_group_IT_number 186
_space_group_name_Hall 'P 6c -2c'
_cell_length_a 6.3259
_cell_length_b 6.3259
_cell_length_c 9.3131
_cell_angle_alpha 90.00
_cell_angle_beta 90.00
_cell_angle_gamma 120.00
loop_
_atom_site_label
_atom_site_type_symbol
_atom_site_fract_x
_atom_site_fract_y
_atom_site_fract_z
_atom_site_occupancy
Te1 Te 0.3333 0.6667 0.0000 1
Pt1 Pt 0.1667 0.3335 0.7128 1
O1 O 0.0000 0.0000 0.3139 1
O2 O 0.0465 0.5233 0.8371 1
O3 O 0.1491 0.2983 0.0963 1
O4 O 0.3333 0.6667 0.6107 1
```

# 2
This entry pairs a crystal structure of K2RbCdAu2 with its calculated X-ray powder pattern. Radiation: copper Kα. Structure: a DFT-relaxed cell (GGA-PBE, Alexandria).
Neutral-atom scattering factors, no anomalous dispersion.

Most intense lines, 2θ from 5° to 70°, in order of rising 2θ:
2θ/deg  intensity  index
19.55  44  0 0 2
20.96  48  0 2 1
28.39  100  1 1 2
33.50  29  1 3 0
35.00  77  0 2 3
36.76  33  2 0 0

Structure:
```
data_K2RbCdAu2
_space_group_name_H-M_alt 'P m c 21'
_space_group_IT_number 26
_space_group_name_Hall 'P 2c -2'
_cell_length_a 4.890
_cell_length_b 9.587
_cell_length_c 9.083
_cell_angle_alpha 90.00
_cell_angle_beta 90.00
_cell_angle_gamma 90.00
loop_
_atom_site_label
_atom_site_type_symbol
_atom_site_fract_x
_atom_site_fract_y
_atom_site_fract_z
_atom_site_occupancy
K1 K 0.000 0.081 0.000 1
K2 K 0.500 0.189 0.337 1
Rb1 Rb 0.500 0.439 0.941 1
Cd1 Cd 0.000 0.296 0.650 1
Au1 Au 0.000 0.401 0.211 1
Au2 Au 0.500 0.141 0.701 1
```

# 3
This entry pairs a crystal structure of Cs2PaPdSe4 with its calculated X-ray powder pattern. Radiation: copper Kα. Structure: a DFT-relaxed cell (GGA-PBE, Alexandria).
Neutral-atom scattering factors, no anomalous dispersion.

Most intense lines, 2θ from 5° to 70°, in order of rising 2θ:
2θ/deg  intensity  index
13.27  69  0 2 2
13.43  94  0 0 4
23.28  100  0 2 6
27.89  87  1 3 5
30.10  48  2 2 0
34.56  54  2 0 6

Structure:
```
data_Cs2PaPdSe4
_space_group_name_H-M_alt 'F d d d'
_space_group_IT_number 70
_cell_length_a 6.432
_cell_length_b 15.470
_cell_length_c 26.367
_cell_angle_alpha 90.00
_cell_angle_beta 90.00
_cell_angle_gamma 90.00
loop_
_space_group_symop_operation_xyz
'x,y,z'
'-x,-y,-z'
'-x+1/4,-y+1/4,z'
'x+1/4,y+1/4,-z'
'x,-y+1/4,-z+1/4'
'-x,y+1/4,z+1/4'
'-x+1/4,y,-z+1/4'
'x+1/4,-y,z+1/4'
'x,y+1/2,z+1/2'
'-x,-y+1/2,-z+1/2'
'-x+1/4,-y+3/4,z+1/2'
'x+1/4,y+3/4,-z+1/2'
'x,-y+3/4,-z+3/4'
'-x,y+3/4,z+3/4'
'-x+1/4,y+1/2,-z+3/4'
'x+1/4,-y+1/2,z+3/4'
'x+1/2,y,z+1/2'
'-x+1/2,-y,-z+1/2'
'-x+3/4,-y+1/4,z+1/2'
'x+3/4,y+1/4,-z+1/2'
'x+1/2,-y+1/4,-z+3/4'
'-x+1/2,y+1/4,z+3/4'
'-x+3/4,y,-z+3/4'
'x+3/4,-y,z+3/4'
'x+1/2,y+1/2,z'
'-x+1/2,-y+1/2,-z'
'-x+3/4,-y+3/4,z'
'x+3/4,y+3/4,-z'
'x+1/2,-y+3/4,-z+1/4'
'-x+1/2,y+3/4,z+1/4'
'-x+3/4,y+1/2,-z+1/4'
'x+3/4,-y+1/2,z+1/4'
loop_
_atom_site_label
_atom_site_type_symbol
_atom_site_fract_x
_atom_site_fract_y
_atom_site_fract_z
_atom_site_occupancy
Cs1 Cs 0.125 0.125 0.305 1
Pa1 Pa 0.125 0.125 0.125 1
Pd1 Pd 0.125 0.125 0.625 1
Se1 Se 0.113 0.271 0.825 1
```

# 4
This entry pairs a crystal structure of PrSm5Tm2 with its calculated X-ray powder pattern. Radiation: copper Kα. Structure: a DFT-relaxed cell (GGA-PBE, Alexandria).
Neutral-atom scattering factors, no anomalous dispersion.

Most intense lines, 2θ from 5° to 70°, in order of rising 2θ:
2θ/deg  intensity  index
30.40  100  2 0 1
35.21  34  2 4 0
35.34  17  0 0 2
50.74  24  2 4 2
60.22  29  4 4 1
60.40  14  2 0 3

Structure:
```
data_PrSm5Tm2
_space_group_name_H-M_alt 'P b a m'
_space_group_IT_number 55
_space_group_name_Hall '-P 2 2ab'
_cell_length_a 7.210
_cell_length_b 14.421
_cell_length_c 5.080
_cell_angle_alpha 90.00
_cell_angle_beta 90.00
_cell_angle_gamma 90.00
loop_
_atom_site_label
_atom_site_type_symbol
_atom_site_fract_x
_atom_site_fract_y
_atom_site_fract_z
_atom_site_occupancy
Pr1 Pr 0.000 0.000 0.000 1
Sm1 Sm 0.000 0.500 0.000 1
Sm2 Sm 0.001 0.251 0.000 1
Sm3 Sm 0.249 0.626 0.500 1
Tm1 Tm 0.250 0.374 0.500 1
```

Repeat the fourth record exactly.
This entry pairs a crystal structure of PrSm5Tm2 with its calculated X-ray powder pattern. Radiation: copper Kα. Structure: a DFT-relaxed cell (GGA-PBE, Alexandria).
Neutral-atom scattering factors, no anomalous dispersion.

Most intense lines, 2θ from 5° to 70°, in order of rising 2θ:
2θ/deg  intensity  index
30.40  100  2 0 1
35.21  34  2 4 0
35.34  17  0 0 2
50.74  24  2 4 2
60.22  29  4 4 1
60.40  14  2 0 3

Structure:
```
data_PrSm5Tm2
_space_group_name_H-M_alt 'P b a m'
_space_group_IT_number 55
_space_group_name_Hall '-P 2 2ab'
_cell_length_a 7.210
_cell_length_b 14.421
_cell_length_c 5.080
_cell_angle_alpha 90.00
_cell_angle_beta 90.00
_cell_angle_gamma 90.00
loop_
_atom_site_label
_atom_site_type_symbol
_atom_site_fract_x
_atom_site_fract_y
_atom_site_fract_z
_atom_site_occupancy
Pr1 Pr 0.000 0.000 0.000 1
Sm1 Sm 0.000 0.500 0.000 1
Sm2 Sm 0.001 0.251 0.000 1
Sm3 Sm 0.249 0.626 0.500 1
Tm1 Tm 0.250 0.374 0.500 1
```